Simulated powder diffractogram
Compound: NaAcFeF6
Radiation: a wavelength of 1.5418 Å
Structure: DFT lattice parameters and positions (GGA+U)
No peak broadening, texture or thermal motion is included.

Crystal structure
Cell: 5.285 5.285 10.749 Å, 90.00 90.00 90.00°
Space group P4_2nm (No. 102)
Asymmetric unit:
Na: 0.000 0.000 0.000 x2
Ac: 0.000 0.000 0.666 x2
Fe: 0.000 0.000 0.333 x2
F: 0.180 0.180 0.178 x4
F: 0.191 0.191 0.484 x4
F: 0.224 0.224 0.833 x4

Peak list (10 most intense, 2θ from 10° to 90°, in order of rising 2θ)
two_theta, d (Å), I_rel, (hkl)
16.5, 5.375, 34, 0 0 2
18.7, 4.743, 100, 1 0 1
23.8, 3.737, 98, 1 1 0
29.1, 3.068, 39, 1 1 2
30.1, 2.966, 76, 1 0 3
37.9, 2.371, 22, 2 0 2
39.0, 2.308, 36, 2 1 1
46.0, 1.973, 72, 2 1 3
48.7, 1.869, 19, 2 2 0
58.4, 1.581, 24, 3 0 3